Record 1
HgSF3: theoretical powder X-ray diffraction pattern (Cu Kα), based on DFT lattice parameters and positions (PBE).
Intensities are scaled so that the largest is 100.

Peak list (6 most intense, 5° ≤ 2θ ≤ 70°, low angle first)
19.59 deg, intensity 86
27.84 deg, intensity 100
39.77 deg, intensity 36
44.71 deg, intensity 44
49.24 deg, intensity 43
57.51 deg, intensity 23

```
data_HgSF3
_cell_length_a 4.5326
_cell_length_b 4.5326
_cell_length_c 4.5326
_cell_angle_alpha 90.00
_cell_angle_beta 90.00
_cell_angle_gamma 90.00
_space_group_name_H-M_alt 'P 1'
_space_group_IT_number 1
loop_
_space_group_symop_operation_xyz
'x,y,z'
loop_
_atom_site_label
_atom_site_fract_x
_atom_site_fract_y
_atom_site_fract_z
_atom_site_occupancy
Hg1 0.0000 0.0000 0.0000 1
S1 0.5000 0.5000 0.5000 1
F1 0.0000 0.0000 0.5000 1
F2 0.0000 0.5000 0.0000 1
F3 0.5000 0.0000 0.0000 1
```


Record 2
Pu3Pa4C8: theoretical powder X-ray diffraction pattern (Cu Kα), based on DFT lattice parameters and positions (PBE).
Intensities are scaled so that the largest is 100.

Peak list (6 most intense, 5° ≤ 2θ ≤ 70°, low angle first)
30.76 deg, intensity 100
35.40 deg, intensity 21
35.66 deg, intensity 21
35.92 deg, intensity 21
51.12 deg, intensity 15
61.03 deg, intensity 16

```
data_Pu3Pa4C8
_cell_length_a 7.0961
_cell_length_b 7.0961
_cell_length_c 7.1102
_cell_angle_alpha 119.59
_cell_angle_beta 119.59
_cell_angle_gamma 90.41
_space_group_name_H-M_alt 'P 1'
_space_group_IT_number 1
loop_
_space_group_symop_operation_xyz
'x,y,z'
loop_
_atom_site_label
_atom_site_fract_x
_atom_site_fract_y
_atom_site_fract_z
_atom_site_occupancy
Pu1 0.0000 0.0000 0.0000 1
Pu2 0.0000 0.5000 0.0000 1
Pu3 0.5000 0.0000 0.0000 1
Pa1 0.0000 0.0000 0.5000 1
Pa2 0.0000 0.5000 0.5000 1
Pa3 0.5000 0.0000 0.5000 1
Pa4 0.5000 0.5000 0.0000 1
C1 0.2315 0.2315 0.9606 1
C2 0.2324 0.7676 0.5000 1
C3 0.2393 0.2393 0.5112 1
C4 0.2549 0.7451 0.0000 1
C5 0.7451 0.2549 0.0000 1
C6 0.7607 0.7607 0.4888 1
C7 0.7676 0.2324 0.5000 1
C8 0.7685 0.7685 0.0394 1
```